Computed powder X-ray diffraction pattern
Compound: LaTlCoO3
Radiation: Cu Kα (weighted mean of Kα1 and Kα2)
Structure: DFT lattice parameters and positions (GGA+U)
Lines closer than 0.1° are merged.

Principal peaks in the range 15° ≤ 2θ ≤ 90°, in order of rising 2θ:
hkl 0 2 2, 23.99°, I 100
hkl 1 1 1, 26.85°, I 56
hkl 1 1 2, 31.16°, I 56
hkl 0 4 0, 31.91°, I 29
hkl 1 3 0, 34.02°, I 32
hkl 1 3 1, 35.25°, I 69
hkl 0 0 4, 36.35°, I 41
hkl 1 1 3, 37.35°, I 35
hkl 1 3 3, 44.00°, I 28
hkl 2 0 0, 49.10°, I 43
hkl 1 5 2, 51.02°, I 28
hkl 0 2 6, 58.36°, I 26

Cell and atoms:
Cell: 3.713 11.219 9.886 Å, 90.00 90.00 90.00°
Space group Cmcm (No. 63)
Inequivalent atoms, fractional coordinates:
La 0.000 0.000 0.000 (multiplicity 4)
Tl 0.000 0.275 0.250 (multiplicity 4)
Co 0.000 0.444 0.750 (multiplicity 4)
O 0.000 0.032 0.750 (multiplicity 4)
O 0.000 0.381 0.571 (multiplicity 8)